FeOF: simulated powder XRD pattern (λ = 1.5418 Å (Cu Kα)), based on a structure optimized by DFT (GGA+U).
Intensities are scaled so that the largest is 100.

Structural model:
Cell: 4.7462 5.6780 7.7856 Å, 85.57 89.86 89.25°
Space group P1 (No. 1)
Inequivalent atoms, fractional coordinates:
Fe 0.0000 0.0000 0.0000 (multiplicity 1)
Fe 0.0015 0.6659 0.3336 (multiplicity 1)
Fe 0.0427 0.3463 0.6402 (multiplicity 1)
Fe 0.4503 0.8510 0.6695 (multiplicity 1)
Fe 0.5451 0.1875 0.3295 (multiplicity 1)
Fe 0.5479 0.5257 0.9995 (multiplicity 1)
O 0.2074 0.6437 0.5535 (multiplicity 1)
O 0.3175 0.8053 0.9022 (multiplicity 1)
O 0.3301 0.1444 0.5527 (multiplicity 1)
O 0.7098 0.2180 0.0939 (multiplicity 1)
O 0.8211 0.3819 0.4285 (multiplicity 1)
O 0.8228 0.7189 0.1066 (multiplicity 1)
F 0.2060 0.3062 0.8894 (multiplicity 1)
F 0.2174 0.9757 0.2329 (multiplicity 1)
F 0.3154 0.4732 0.2222 (multiplicity 1)
F 0.7143 0.5488 0.7604 (multiplicity 1)
F 0.7135 0.8811 0.4374 (multiplicity 1)
F 0.8236 0.0483 0.7593 (multiplicity 1)

The 10 most intense peaks (2θ = 10–80°), by angle:
26.39 deg, I = 100, (1 1 1)
26.70 deg, I = 96, (-1 1 1)
34.55 deg, I = 50, (0 2 -1)
34.70 deg, I = 51, (1 -1 2)
39.68 deg, I = 18, (1 0 3)
51.92 deg, I = 28, (1 3 0)
52.24 deg, I = 30, (1 1 4)
52.40 deg, I = 41, (1 -3 0)
59.83 deg, I = 17, (0 2 -4)
66.20 deg, I = 19, (0 4 1)

---

V2ZnO4: simulated powder XRD pattern (λ = 1.5418 Å (Cu Kα)), based on a structure optimized by DFT (GGA+U).
Intensities are scaled so that the largest is 100.

Structural model:
Cell: 6.0684 6.0684 14.8778 Å, 90.00 90.00 120.00°
Space group P3m1 (No. 156)
Inequivalent atoms, fractional coordinates:
V 0.0000 0.0000 0.0000 (multiplicity 1)
V 0.0000 0.0000 0.3748 (multiplicity 1)
V 0.0039 0.5019 0.4989 (multiplicity 3)
V 0.1660 0.3320 0.8328 (multiplicity 3)
V 0.3356 0.1678 0.1654 (multiplicity 3)
V 0.6667 0.3333 0.7075 (multiplicity 1)
Zn 0.0000 0.0000 0.6199 (multiplicity 1)
Zn 0.3333 0.6667 0.0419 (multiplicity 1)
Zn 0.3333 0.6667 0.2852 (multiplicity 1)
Zn 0.3333 0.6667 0.6646 (multiplicity 1)
Zn 0.6667 0.3333 0.3306 (multiplicity 1)
Zn 0.6667 0.3333 0.9585 (multiplicity 1)
O 0.0000 0.0000 0.2434 (multiplicity 1)
O 0.0000 0.0000 0.7602 (multiplicity 1)
O 0.0124 0.5062 0.7553 (multiplicity 3)
O 0.1532 0.3063 0.0868 (multiplicity 3)
O 0.1782 0.3563 0.5762 (multiplicity 3)
O 0.3033 0.1517 0.9134 (multiplicity 3)
O 0.3333 0.6667 0.4251 (multiplicity 1)
O 0.3333 0.6667 0.9037 (multiplicity 1)
O 0.3498 0.1749 0.4210 (multiplicity 3)
O 0.5110 0.0221 0.2403 (multiplicity 3)
O 0.6667 0.3333 0.0912 (multiplicity 1)
O 0.6667 0.3333 0.5736 (multiplicity 1)

The 10 most intense peaks (2θ = 10–80°), by angle:
17.90 deg, I = 6, (1 0 1)
29.43 deg, I = 35, (1 1 0)
34.66 deg, I = 100, (0 1 5)
36.25 deg, I = 6, (2 0 2)
42.10 deg, I = 16, (0 2 4)
52.20 deg, I = 13, (3 0 0)
55.63 deg, I = 36, (1 2 5)
61.06 deg, I = 45, (2 2 0)
69.21 deg, I = 5, (1 2 8)
72.15 deg, I = 10, (3 1 5)

---

Rb3FeF6: simulated powder XRD pattern (λ = 1.5418 Å (Cu Kα)), based on a structure optimized by DFT (GGA+U).
Intensities are scaled so that the largest is 100.

Structural model:
Cell: 9.2615 9.2615 9.2615 Å, 90.00 90.00 90.00°
Space group Fm-3m (No. 225)
Inequivalent atoms, fractional coordinates:
Rb 0.0000 0.0000 0.0000 (multiplicity 4)
Rb 0.2500 0.2500 0.2500 (multiplicity 8)
Fe 0.0000 0.0000 0.5000 (multiplicity 4)
F 0.0000 0.0000 0.2880 (multiplicity 24)

The 10 most intense peaks (2θ = 10–80°), by angle:
27.23 deg, I = 100, (2 2 0)
32.05 deg, I = 2, (3 1 1)
33.52 deg, I = 8, (2 2 2)
38.90 deg, I = 40, (4 0 0)
42.55 deg, I = 3, (3 3 1)
48.13 deg, I = 37, (4 2 2)
56.18 deg, I = 23, (4 4 0)
63.53 deg, I = 21, (6 2 0)
70.44 deg, I = 7, (4 4 4)
77.06 deg, I = 22, (6 4 2)

---

Mg14CrSiO16: simulated powder XRD pattern (λ = 1.5418 Å (Cu Kα)), based on a structure optimized by DFT (GGA+U).
Intensities are scaled so that the largest is 100.

Structural model:
Cell: 8.6481 8.6481 4.2639 Å, 90.00 90.00 90.00°
Space group P4/mmm (No. 123)
Inequivalent atoms, fractional coordinates:
Mg 0.0000 0.2533 0.0000 (multiplicity 4)
Mg 0.0000 0.5000 0.5000 (multiplicity 2)
Mg 0.2463 0.5000 0.0000 (multiplicity 4)
Mg 0.2504 0.2504 0.5000 (multiplicity 4)
Cr 0.5000 0.5000 0.5000 (multiplicity 1)
Si 0.0000 0.0000 0.5000 (multiplicity 1)
O 0.0000 0.0000 0.0000 (multiplicity 1)
O 0.0000 0.2603 0.5000 (multiplicity 4)
O 0.0000 0.5000 0.0000 (multiplicity 2)
O 0.2428 0.5000 0.5000 (multiplicity 4)
O 0.2500 0.2500 0.0000 (multiplicity 4)
O 0.5000 0.5000 0.0000 (multiplicity 1)

The 10 most intense peaks (2θ = 10–80°), by angle:
10.23 deg, I = 4, (1 0 0)
32.75 deg, I = 2, (3 1 0)
36.15 deg, I = 20, (2 2 1)
41.78 deg, I = 100, (4 0 0)
42.40 deg, I = 48, (0 0 2)
60.57 deg, I = 28, (4 4 0)
61.04 deg, I = 55, (4 0 2)
72.61 deg, I = 9, (6 2 1)
73.47 deg, I = 4, (2 2 3)
76.71 deg, I = 25, (4 4 2)

---

LiCoH8C2O10: simulated powder XRD pattern (λ = 1.5418 Å (Cu Kα)), based on a structure optimized by DFT (GGA+U).
Intensities are scaled so that the largest is 100.

Structural model:
Cell: 8.3956 6.7663 15.2813 Å, 90.00 100.87 90.00°
Space group Cc (No. 9)
Inequivalent atoms, fractional coordinates:
Li 0.0000 0.1534 0.0000 (multiplicity 4)
Co 0.4179 0.0616 0.2851 (multiplicity 4)
H 0.0483 0.1817 0.1619 (multiplicity 4)
H 0.0698 0.4830 0.5765 (multiplicity 4)
H 0.1034 0.4584 0.4793 (multiplicity 4)
H 0.2331 0.0419 0.5893 (multiplicity 4)
H 0.2752 0.0376 0.4931 (multiplicity 4)
H 0.2961 0.3517 0.9264 (multiplicity 4)
H 0.3619 0.3263 0.6510 (multiplicity 4)
H 0.4719 0.3278 0.9108 (multiplicity 4)
C 0.1398 0.2386 0.7483 (multiplicity 4)
C 0.1980 0.2653 0.3241 (multiplicity 4)
O 0.0471 0.3538 0.6926 (multiplicity 4)
O 0.0699 0.4465 0.0204 (multiplicity 4)
O 0.0791 0.3583 0.3489 (multiplicity 4)
O 0.1023 0.2251 0.8264 (multiplicity 4)
O 0.2123 0.0280 0.0322 (multiplicity 4)
O 0.2251 0.2652 0.2436 (multiplicity 4)
O 0.2612 0.1474 0.7252 (multiplicity 4)
O 0.2988 0.1599 0.3808 (multiplicity 4)
O 0.3962 0.4250 0.9272 (multiplicity 4)
O 0.4505 0.3685 0.6220 (multiplicity 4)

The 10 most intense peaks (2θ = 10–80°), by angle:
11.79 deg, I = 100, (0 0 2)
16.95 deg, I = 43, (1 1 0)
19.49 deg, I = 34, (1 1 -2)
21.85 deg, I = 18, (1 1 2)
26.08 deg, I = 26, (1 1 3)
27.55 deg, I = 20, (1 1 -4)
30.95 deg, I = 15, (1 1 4)
34.96 deg, I = 15, (2 2 -2)
35.54 deg, I = 19, (2 2 1)
38.41 deg, I = 18, (2 0 -6)

---

Li8Mn5Fe3B8O24: simulated powder XRD pattern (λ = 1.5418 Å (Cu Kα)), based on a structure optimized by DFT (GGA+U).
Intensities are scaled so that the largest is 100.

Structural model:
Cell: 5.2405 5.2503 20.9371 Å, 90.91 90.63 119.77°
Space group P1 (No. 1)
Inequivalent atoms, fractional coordinates:
Li 0.0000 0.0000 0.0000 (multiplicity 1)
Li 0.0007 0.0022 0.5008 (multiplicity 1)
Li 0.0278 0.9740 0.2503 (multiplicity 1)
Li 0.0284 0.9781 0.7508 (multiplicity 1)
Li 0.3298 0.3165 0.6262 (multiplicity 1)
Li 0.3306 0.3151 0.1252 (multiplicity 1)
Li 0.3409 0.3045 0.3756 (multiplicity 1)
Li 0.3450 0.3088 0.8747 (multiplicity 1)
Mn 0.0073 0.6491 0.3930 (multiplicity 1)
Mn 0.3561 0.6496 0.2677 (multiplicity 1)
Mn 0.6753 0.9827 0.1423 (multiplicity 1)
Mn 0.6767 0.3270 0.5190 (multiplicity 1)
Mn 0.6782 0.3325 0.0166 (multiplicity 1)
Fe 0.0046 0.6507 0.8920 (multiplicity 1)
Fe 0.3549 0.6632 0.7674 (multiplicity 1)
Fe 0.6740 0.9746 0.6441 (multiplicity 1)
B 0.0079 0.6444 0.6469 (multiplicity 1)
B 0.0132 0.6481 0.1463 (multiplicity 1)
B 0.3372 0.6567 0.0204 (multiplicity 1)
B 0.3384 0.6557 0.5225 (multiplicity 1)
B 0.6742 0.9834 0.8952 (multiplicity 1)
B 0.6745 0.9872 0.3967 (multiplicity 1)
B 0.6805 0.3109 0.2716 (multiplicity 1)
B 0.6805 0.3153 0.7713 (multiplicity 1)
O 0.0243 0.9177 0.6532 (multiplicity 1)
O 0.0374 0.9221 0.1535 (multiplicity 1)
O 0.1006 0.6852 0.5015 (multiplicity 1)
O 0.1005 0.6864 0.9998 (multiplicity 1)
O 0.2565 0.6151 0.1616 (multiplicity 1)
O 0.2589 0.6246 0.6614 (multiplicity 1)
O 0.3082 0.3808 0.0279 (multiplicity 1)
O 0.3092 0.3799 0.5297 (multiplicity 1)
O 0.4055 0.2812 0.2789 (multiplicity 1)
O 0.4110 0.2968 0.7774 (multiplicity 1)
O 0.4263 0.7228 0.8762 (multiplicity 1)
O 0.4322 0.7236 0.3755 (multiplicity 1)
O 0.6083 0.9053 0.5381 (multiplicity 1)
O 0.6082 0.9072 0.0358 (multiplicity 1)
O 0.6407 0.2305 0.4121 (multiplicity 1)
O 0.6548 0.2357 0.9097 (multiplicity 1)
O 0.7032 0.0688 0.7521 (multiplicity 1)
O 0.7119 0.0736 0.2507 (multiplicity 1)
O 0.7473 0.3963 0.6278 (multiplicity 1)
O 0.7494 0.4064 0.1251 (multiplicity 1)
O 0.9312 0.5819 0.2866 (multiplicity 1)
O 0.9388 0.5803 0.7858 (multiplicity 1)
O 0.9469 0.0004 0.9016 (multiplicity 1)
O 0.9476 0.0114 0.4042 (multiplicity 1)

The 10 most intense peaks (2θ = 10–80°), by angle:
19.54 deg, I = 52, (1 -1 0)
21.34 deg, I = 29, (1 -1 2)
21.47 deg, I = 47, (0 1 2)
25.67 deg, I = 18, (1 0 -4)
26.25 deg, I = 22, (1 0 4)
34.12 deg, I = 44, (1 -2 0)
34.26 deg, I = 100, (0 0 8)
40.41 deg, I = 17, (2 0 -2)
40.70 deg, I = 20, (2 -2 2)
48.27 deg, I = 27, (0 1 10)

---

K2Co2Se3O9: simulated powder XRD pattern (λ = 1.5418 Å (Cu Kα)), based on a structure optimized by DFT (GGA+U).
Intensities are scaled so that the largest is 100.

Structural model:
Cell: 5.5707 5.5707 18.0056 Å, 90.00 90.00 120.00°
Space group P6_3mc (No. 186)
Inequivalent atoms, fractional coordinates:
K 0.3333 0.6667 0.0000 (multiplicity 2)
K 0.3333 0.6667 0.4300 (multiplicity 2)
Co 0.3333 0.6667 0.6392 (multiplicity 2)
Co 0.3333 0.6667 0.8060 (multiplicity 2)
Se 0.0000 0.0000 0.1085 (multiplicity 2)
Se 0.0000 0.0000 0.3297 (multiplicity 2)
Se 0.3333 0.6667 0.1845 (multiplicity 2)
O 0.0055 0.5027 0.2224 (multiplicity 6)
O 0.1591 0.3183 0.8742 (multiplicity 6)
O 0.1605 0.3210 0.5655 (multiplicity 6)

The 10 most intense peaks (2θ = 10–80°), by angle:
27.09 deg, I = 86, (1 0 4)
30.99 deg, I = 54, (1 0 5)
32.14 deg, I = 100, (1 1 0)
44.38 deg, I = 48, (1 1 6)
45.25 deg, I = 20, (2 0 5)
54.28 deg, I = 20, (2 1 4)
56.58 deg, I = 17, (2 1 5)
57.29 deg, I = 18, (3 0 0)
65.91 deg, I = 17, (3 0 6)
67.22 deg, I = 22, (2 2 0)